This entry pairs a crystal structure of La6RuRh with its computed PXRD pattern. Radiation: Cu Kα (weighted mean of Kα1 and Kα2). Structure: a DFT-relaxed cell (PBE, Alexandria).
Lines closer than 0.1° are merged.

Crystal structure
```
data_La6RuRh
_chemical_formula_sum 'La6 Ru1 Rh1'
_cell_length_a 7.8043
_cell_length_b 7.8043
_cell_length_c 7.8043
_cell_angle_alpha 52.81
_cell_angle_beta 52.81
_cell_angle_gamma 52.81
_symmetry_space_group_name_H-M 'P 1'
_symmetry_Int_Tables_number 1
_symmetry_space_group_name_Hall 'P 1'
loop_
_atom_site_label
_atom_site_type_symbol
_atom_site_fract_x
_atom_site_fract_y
_atom_site_fract_z
_atom_site_occupancy
La1 La 0.0855 0.7480 0.4194 1
La2 La 0.2520 0.5806 0.9145 1
La3 La 0.4194 0.0855 0.7480 1
La4 La 0.5806 0.9145 0.2520 1
La5 La 0.7480 0.4194 0.0855 1
La6 La 0.9145 0.2520 0.5806 1
Ru1 Ru 0.5000 0.5000 0.5000 1
Rh1 Rh 0.0000 0.0000 0.0000 1
```

Largest 10 diffraction maxima, in order of rising 2θ, 5 to 70 degrees two-theta:
2θ (°), I (rel.)
17.2, 16
26.6, 15
29.0, 100
37.3, 39
45.3, 31
48.5, 24
53.3, 13
54.6, 17
60.1, 10
68.5, 8